The following is a theoretical powder X-ray diffraction pattern of Dy13Tm2. It was derived from DFT lattice parameters and positions (PBE), using a wavelength of 1.5418 Å.
Peak positions follow from Bragg's law for the DFT cell and can differ from measured ones.

Peak list (12 most intense, 10° ≤ 2θ ≤ 90°, in order of falling intensity)
32.12 deg, rel. 1000; 31.81 deg, rel. 924; 57.04 deg, rel. 256; 45.80 deg, rel. 222; 63.22 deg, rel. 192; 57.18 deg, rel. 146; 57.30 deg, rel. 128; 45.91 deg, rel. 111; 63.32 deg, rel. 96; 76.21 deg, rel. 94; 41.59 deg, rel. 90; 52.90 deg, rel. 84

Cell and atoms:
```
15
Lattice="6.5632 0.0000 0.0000 1.3026 8.7857 0.0000 1.2994 3.4755 8.0730" Properties=species:S:1:pos:R:3 pbc="T T T"
Dy 0.0000 0.0000 0.0000
Dy 2.2431 6.5304 6.0720
Dy 1.8119 2.4558 1.6302
Dy 3.9987 8.9029 7.8972
Dy 4.1075 10.6166 5.1691
Dy 3.6534 4.9052 3.2487
Dy 4.5197 4.3907 6.7498
Dy 4.6456 7.8705 1.3233
Dy 5.5118 7.3560 4.8244
Dy 5.0578 1.6446 2.9039
Dy 5.1666 3.3583 0.1759
Dy 7.3533 9.8054 6.4428
Dy 6.9221 5.7308 2.0010
Tm 2.1973 8.3189 3.3991
Tm 6.9680 3.9423 4.6740
```


The following is a theoretical powder X-ray diffraction pattern of Li2Tb2NdSn2. It was derived from DFT lattice parameters and positions (PBE), using a wavelength of 1.5418 Å.
Peak positions follow from Bragg's law for the DFT cell and can differ from measured ones.

Peak list (12 most intense, 10° ≤ 2θ ≤ 90°, in order of falling intensity)
34.13 deg, rel. 1000; 37.32 deg, rel. 923; 21.54 deg, rel. 829; 31.56 deg, rel. 787; 64.56 deg, rel. 320; 51.46 deg, rel. 316; 65.27 deg, rel. 311; 49.66 deg, rel. 224; 63.73 deg, rel. 212; 67.30 deg, rel. 167; 58.96 deg, rel. 148; 88.85 deg, rel. 142

Cell and atoms:
```
7
Lattice="2.4096 1.3912 9.0135 -2.4096 1.3912 9.0135 0.0000 -2.7824 9.0135" Properties=species:S:1:pos:R:3 pbc="T T T"
Li 0.0000 0.0000 2.4865
Li 0.0000 0.0000 24.5540
Tb 0.0000 0.0000 10.0049
Tb 0.0000 0.0000 17.0356
Nd 0.0000 0.0000 13.5203
Sn 0.0000 0.0000 6.4732
Sn 0.0000 0.0000 20.5673
```


The following is a theoretical powder X-ray diffraction pattern of Tm3TeSe. It was derived from DFT lattice parameters and positions (PBE), using a wavelength of 1.5418 Å.
Peak positions follow from Bragg's law for the DFT cell and can differ from measured ones.

Peak list (12 most intense, 10° ≤ 2θ ≤ 90°, in order of falling intensity)
36.52 deg, rel. 1000; 33.52 deg, rel. 665; 31.21 deg, rel. 444; 37.48 deg, rel. 373; 32.31 deg, rel. 320; 51.15 deg, rel. 307; 27.17 deg, rel. 302; 35.83 deg, rel. 277; 30.42 deg, rel. 238; 47.24 deg, rel. 225; 49.87 deg, rel. 217; 61.89 deg, rel. 215

Cell and atoms:
```
10
Lattice="5.8777 0.0000 0.0000 0.0000 5.3476 0.0000 0.0000 0.0000 8.3130" Properties=species:S:1:pos:R:3 pbc="T T T"
Tm 0.0000 0.0000 0.0000
Tm 1.4694 0.0000 2.9984
Tm 1.4694 2.6738 6.1213
Tm 2.9388 0.0000 0.0000
Tm 4.4083 0.0000 5.3146
Tm 4.4083 2.6738 2.1917
Te 1.4694 2.6738 1.1107
Te 4.4083 2.6738 7.2023
Se 1.4694 0.0000 5.7457
Se 4.4083 0.0000 2.5673
```


The following is a theoretical powder X-ray diffraction pattern of Ce8SnOs6. It was derived from DFT lattice parameters and positions (PBE), using a wavelength of 1.5418 Å.
Peak positions follow from Bragg's law for the DFT cell and can differ from measured ones.

Peak list (12 most intense, 10° ≤ 2θ ≤ 90°, in order of falling intensity)
34.84 deg, rel. 1000; 29.88 deg, rel. 350; 36.95 deg, rel. 349; 10.08 deg, rel. 300; 41.97 deg, rel. 250; 80.10 deg, rel. 235; 30.57 deg, rel. 234; 43.28 deg, rel. 199; 44.32 deg, rel. 196; 47.50 deg, rel. 177; 59.03 deg, rel. 167; 24.02 deg, rel. 110

Cell and atoms:
```
15
Lattice="10.1289 0.0000 0.0000 -5.0644 8.7718 0.0000 0.0000 0.0000 4.0876" Properties=species:S:1:pos:R:3 pbc="T T T"
Ce -3.1377 6.3699 1.0587
Ce 1.1168 2.8696 1.0587
Ce 3.0435 0.4676 3.0290
Ce 0.0000 5.8479 3.0822
Ce 5.0644 2.9239 1.0055
Ce 2.0209 8.3043 1.0587
Ce 3.9476 5.9023 3.0290
Ce 8.2022 2.4020 3.0290
Sn 0.0000 0.0000 0.0000
Os -1.4711 4.1457 1.0030
Os -0.7386 7.9730 1.0030
Os 2.8547 3.3469 3.0846
Os 2.2097 5.4250 1.0030
Os 5.8030 0.7988 3.0846
Os 6.5355 4.6262 3.0846
```


The following is a theoretical powder X-ray diffraction pattern of Cu2HgRu. It was derived from DFT lattice parameters and positions (PBE), using a wavelength of 1.5418 Å.
Peak positions follow from Bragg's law for the DFT cell and can differ from measured ones.

Peak list (12 most intense, 10° ≤ 2θ ≤ 90°, in order of falling intensity)
40.65 deg, rel. 1000; 42.50 deg, rel. 282; 42.66 deg, rel. 220; 27.13 deg, rel. 211; 61.79 deg, rel. 184; 76.73 deg, rel. 152; 76.54 deg, rel. 138; 84.13 deg, rel. 108; 17.03 deg, rel. 101; 34.43 deg, rel. 84; 55.81 deg, rel. 70; 88.04 deg, rel. 68

Cell and atoms:
```
4
Lattice="2.6916 0.0000 0.0000 0.0000 4.2393 0.0000 -1.3446 0.0000 5.2065" Properties=species:S:1:pos:R:3 pbc="T T T"
Cu 0.0000 0.0000 0.0000
Cu 0.0063 2.1197 1.3247
Hg 1.3545 0.0000 2.5595
Ru 0.0063 2.1197 4.1950
```


The following is a theoretical powder X-ray diffraction pattern of CsLu2Cl7. It was derived from DFT lattice parameters and positions (PBE), using a wavelength of 1.5418 Å.
Peak positions follow from Bragg's law for the DFT cell and can differ from measured ones.

Peak list (12 most intense, 10° ≤ 2θ ≤ 90°, in order of falling intensity)
19.17 deg, rel. 1000; 12.25 deg, rel. 630; 25.79 deg, rel. 390; 36.03 deg, rel. 349; 25.01 deg, rel. 223; 35.39 deg, rel. 221; 39.47 deg, rel. 197; 40.18 deg, rel. 188; 31.23 deg, rel. 183; 18.79 deg, rel. 176; 34.24 deg, rel. 166; 32.16 deg, rel. 165

Cell and atoms:
```
40
Lattice="14.4544 0.0000 0.0000 0.0000 6.8889 0.0000 0.0000 0.0000 12.4793" Properties=species:S:1:pos:R:3 pbc="T T T"
Cs 0.4320 1.7222 2.6143
Cs 6.7952 5.1667 8.8540
Cs 7.6592 1.7222 3.6253
Cs 14.0225 5.1667 9.8649
Lu 3.5468 1.7222 6.9199
Lu 3.5886 1.7222 10.6955
Lu 3.6386 5.1667 4.4559
Lu 3.6804 5.1667 0.6803
Lu 10.7740 1.7222 11.7990
Lu 10.8158 1.7222 8.0234
Lu 10.8658 5.1667 1.7837
Lu 10.9076 5.1667 5.5594
Cl 1.7202 5.1667 2.5597
Cl 1.9933 0.0684 5.4910
Cl 1.9933 3.3761 5.4910
Cl 2.0054 0.0681 12.1279
Cl 2.0054 3.3764 12.1279
Cl 2.6591 0.0833 8.8126
Cl 2.6591 3.3611 8.8126
Cl 4.5681 3.5278 2.5730
Cl 4.5681 6.8055 2.5730
Cl 5.2218 3.5125 5.8883
Cl 5.2218 6.8208 5.8883
Cl 5.2339 3.5128 11.7306
Cl 5.2339 6.8205 11.7306
Cl 5.5070 1.7222 8.7993
Cl 8.9474 5.1667 3.6800
Cl 9.2205 0.0684 0.7486
Cl 9.2205 3.3761 0.7486
Cl 9.2326 0.0681 6.5909
Cl 9.2326 3.3764 6.5909
Cl 9.8863 0.0833 9.9063
Cl 9.8863 3.3611 9.9063
Cl 11.7953 3.5278 3.6666
Cl 11.7953 6.8055 3.6666
Cl 12.4491 3.5125 0.3513
Cl 12.4491 6.8208 0.3513
Cl 12.4611 3.5128 6.9883
Cl 12.4611 6.8205 6.9883
Cl 12.7342 1.7222 9.9196
```


The following is a theoretical powder X-ray diffraction pattern of ZnHS. It was derived from DFT lattice parameters and positions (PBE), using a wavelength of 1.5418 Å.
Peak positions follow from Bragg's law for the DFT cell and can differ from measured ones.

Peak list (12 most intense, 10° ≤ 2θ ≤ 90°, in order of falling intensity)
30.98 deg, rel. 1000; 19.81 deg, rel. 707; 41.66 deg, rel. 657; 35.46 deg, rel. 605; 47.79 deg, rel. 573; 31.86 deg, rel. 572; 50.66 deg, rel. 351; 54.91 deg, rel. 282; 37.31 deg, rel. 256; 52.42 deg, rel. 181; 76.37 deg, rel. 146; 67.91 deg, rel. 139

Cell and atoms:
```
12
Lattice="5.0629 0.0000 0.0000 0.0000 9.6416 0.0000 0.0000 0.0000 3.6042" Properties=species:S:1:pos:R:3 pbc="T T T"
Zn 0.0000 0.9801 0.0000
Zn 0.0000 8.6616 1.8021
Zn 2.5315 3.8407 1.8021
Zn 2.5315 5.8009 0.0000
H 0.0000 3.9050 3.5396
H 0.0000 5.7367 1.7375
H 2.5315 0.9159 1.7375
H 2.5315 8.7258 3.5396
S 0.0000 3.1738 1.0776
S 0.0000 6.4679 2.8797
S 2.5315 1.6471 2.8797
S 2.5315 7.9946 1.0776
```


The following is a theoretical powder X-ray diffraction pattern of Ac4Si4Ge. It was derived from DFT lattice parameters and positions (PBE), using a wavelength of 1.5418 Å.
Peak positions follow from Bragg's law for the DFT cell and can differ from measured ones.

Peak list (12 most intense, 10° ≤ 2θ ≤ 90°, in order of falling intensity)
24.37 deg, rel. 1000; 32.18 deg, rel. 927; 26.42 deg, rel. 772; 35.65 deg, rel. 582; 29.06 deg, rel. 551; 51.07 deg, rel. 373; 46.39 deg, rel. 353; 19.67 deg, rel. 321; 28.70 deg, rel. 275; 68.46 deg, rel. 273; 47.59 deg, rel. 263; 35.04 deg, rel. 236

Cell and atoms:
```
18
Lattice="8.7969 0.0000 0.0000 0.0000 8.7969 0.0000 0.0000 0.0000 6.5576" Properties=species:S:1:pos:R:3 pbc="T T T"
Ac 0.2501 5.9898 0.6247
Ac 1.5913 8.5468 3.9035
Ac 2.8071 4.6485 3.9035
Ac 4.1484 7.2055 0.6247
Ac 4.6485 1.5913 5.9328
Ac 5.9898 4.1484 2.6540
Ac 7.2055 0.2501 2.6540
Ac 8.5468 2.8071 5.9328
Si 0.1193 3.2237 2.7562
Si 1.1748 0.1193 0.5226
Si 3.2237 4.2791 0.5226
Si 4.2791 1.1748 2.7562
Si 4.5178 7.6221 3.8013
Si 5.5732 4.5178 6.0350
Si 7.6221 8.6776 6.0350
Si 8.6776 5.5732 3.8013
Ge 2.1992 2.1992 1.6394
Ge 6.5977 6.5977 4.9182
```